For CoTe6Mo, the GGA-PBE geometry in Alexandria gives the theoretical X-ray powder pattern in this record (Cu Kα (λ = 1.5418 Å)).

Crystal structure
a = 6.5577 Å, b = 6.5680 Å, c = 6.6057 Å
α = 60.79°, β = 60.65°, γ = 60.80°
Atoms (fractional coordinates):
Co: 0.0000 0.0000 0.0000
Te: 0.0596 0.4245 0.7748
Te: 0.2335 0.9382 0.5773
Te: 0.4227 0.7736 0.0635
Te: 0.5773 0.2264 0.9365
Te: 0.7665 0.0618 0.4227
Te: 0.9404 0.5755 0.2252
Mo: 0.5000 0.5000 0.5000

Main lines, in order of falling intensity (2θ from 15° to 90°):
2θ 31.73, I = 100; 2θ 31.58, I = 76; 2θ 47.30, I = 44; 2θ 31.83, I = 39; 2θ 33.57, I = 25; 2θ 43.49, I = 21; 2θ 47.45, I = 21; 2θ 43.29, I = 20; 2θ 43.62, I = 19; 2θ 26.81, I = 17

=====

For TiCo3Mo, the GGA-PBE geometry in Alexandria gives the theoretical X-ray powder pattern in this record (Cu Kα (λ = 1.5418 Å)).

Crystal structure
a = 4.3592 Å, b = 4.3592 Å, c = 4.3592 Å
α = 90.00°, β = 90.00°, γ = 90.00°
Atoms (fractional coordinates):
Ti: 0.0000 0.0000 0.0000
Co: 0.0000 0.5000 0.5000
Co: 0.5000 0.0000 0.5000
Co: 0.5000 0.5000 0.0000
Mo: 0.5000 0.5000 0.5000

Main lines, in order of falling intensity (2θ from 15° to 90°):
2θ 41.43, I = 100; 2θ 20.37, I = 74; 2θ 60.03, I = 62; 2θ 35.67, I = 35; 2θ 28.97, I = 34; 2θ 46.59, I = 33; 2θ 75.56, I = 20; 2θ 64.08, I = 15; 2θ 51.34, I = 13; 2θ 71.82, I = 10

=====

For YCo10Mo2, the GGA-PBE geometry in Alexandria gives the theoretical X-ray powder pattern in this record (Cu Kα (λ = 1.5418 Å)).

Crystal structure
a = 6.4081 Å, b = 6.4081 Å, c = 6.4081 Å
α = 137.18°, β = 97.77°, γ = 97.55°
Atoms (fractional coordinates):
Y: 0.0000 0.0000 0.0000
Co: 0.0000 0.0000 0.5000
Co: 0.0000 0.5000 0.0000
Co: 0.2110 0.5000 0.7110
Co: 0.2204 0.7204 0.5000
Co: 0.3593 0.0000 0.3593
Co: 0.5000 0.0000 0.0000
Co: 0.5000 0.5000 0.5000
Co: 0.6407 0.0000 0.6407
Co: 0.7796 0.2796 0.5000
Co: 0.7890 0.5000 0.2890
Mo: 0.3582 0.3582 0.0000
Mo: 0.6418 0.6418 0.0000

Main lines, in order of falling intensity (2θ from 15° to 90°):
2θ 43.23, I = 100; 2θ 44.28, I = 71; 2θ 37.31, I = 60; 2θ 42.89, I = 53; 2θ 49.52, I = 43; 2θ 48.55, I = 32; 2θ 48.24, I = 32; 2θ 38.48, I = 20; 2θ 72.89, I = 19; 2θ 79.61, I = 13

=====

For ZnCo3Mo, the GGA-PBE geometry in Alexandria gives the theoretical X-ray powder pattern in this record (Cu Kα (λ = 1.5418 Å)).

Crystal structure
a = 4.3925 Å, b = 4.3925 Å, c = 4.3925 Å
α = 90.00°, β = 90.00°, γ = 90.00°
Atoms (fractional coordinates):
Zn: 0.0000 0.0000 0.0000
Co: 0.0000 0.5000 0.5000
Co: 0.5000 0.0000 0.5000
Co: 0.5000 0.5000 0.0000
Mo: 0.5000 0.5000 0.5000

Main lines, in order of falling intensity (2θ from 15° to 90°):
2θ 41.10, I = 100; 2θ 59.53, I = 63; 2θ 28.74, I = 49; 2θ 35.39, I = 42; 2θ 20.22, I = 41; 2θ 74.89, I = 20; 2θ 50.92, I = 19; 2θ 46.21, I = 17; 2θ 71.20, I = 13; 2θ 89.18, I = 10

=====

For ZnCo6Mo, the GGA-PBE geometry in Alexandria gives the theoretical X-ray powder pattern in this record (Cu Kα (λ = 1.5418 Å)).

Crystal structure
a = 6.2199 Å, b = 6.2199 Å, c = 10.1647 Å
α = 90.00°, β = 90.00°, γ = 109.57°
Atoms (fractional coordinates):
Zn: 0.0000 0.0000 0.2492
Zn: 0.0000 0.0000 0.7508
Zn: 0.2526 0.7474 0.5000
Zn: 0.7474 0.2526 0.5000
Co: 0.0000 0.0000 0.0000
Co: 0.0000 0.0000 0.5000
Co: 0.1225 0.3735 0.3753
Co: 0.1225 0.3735 0.6247
Co: 0.1253 0.3750 0.1243
Co: 0.1253 0.3750 0.8757
Co: 0.2503 0.7497 0.2493
Co: 0.2503 0.7497 0.7507
Co: 0.3735 0.1225 0.3753
Co: 0.3735 0.1225 0.6247
Co: 0.3750 0.1253 0.1243
Co: 0.3750 0.1253 0.8757
Co: 0.5000 0.5000 0.0000
Co: 0.5000 0.5000 0.5000
Co: 0.6250 0.8747 0.1243
Co: 0.6250 0.8747 0.8757
Co: 0.6265 0.8775 0.3753
Co: 0.6265 0.8775 0.6247
Co: 0.7497 0.2503 0.2493
Co: 0.7497 0.2503 0.7507
Co: 0.8747 0.6250 0.1243
Co: 0.8747 0.6250 0.8757
Co: 0.8775 0.6265 0.3753
Co: 0.8775 0.6265 0.6247
Mo: 0.2555 0.7445 0.0000
Mo: 0.5000 0.5000 0.2520
Mo: 0.5000 0.5000 0.7480
Mo: 0.7445 0.2555 0.0000

Main lines, in order of falling intensity (2θ from 15° to 90°):
2θ 43.66, I = 100; 2θ 50.82, I = 31; 2θ 74.77, I = 27; 2θ 50.92, I = 15; 2θ 24.79, I = 2; 2θ 35.35, I = 2; 2θ 63.45, I = 1; 2θ 57.34, I = 1; 2θ 15.12, I = 1

=====

For ZrCo6Mo, the GGA-PBE geometry in Alexandria gives the theoretical X-ray powder pattern in this record (Cu Kα (λ = 1.5418 Å)).

Crystal structure
a = 6.3225 Å, b = 6.3225 Å, c = 10.3666 Å
α = 90.00°, β = 90.00°, γ = 109.51°
Atoms (fractional coordinates):
Zr: 0.0000 0.0000 0.2500
Zr: 0.0000 0.0000 0.7500
Zr: 0.2472 0.7528 0.0000
Zr: 0.7528 0.2472 0.0000
Co: 0.0000 0.0000 0.0000
Co: 0.0000 0.0000 0.5000
Co: 0.1298 0.3848 0.3804
Co: 0.1298 0.3848 0.6196
Co: 0.1359 0.3818 0.1310
Co: 0.1359 0.3818 0.8690
Co: 0.2555 0.7445 0.2588
Co: 0.2555 0.7445 0.7412
Co: 0.3818 0.1359 0.1310
Co: 0.3818 0.1359 0.8690
Co: 0.3848 0.1298 0.3804
Co: 0.3848 0.1298 0.6196
Co: 0.5000 0.5000 0.0000
Co: 0.5000 0.5000 0.5000
Co: 0.6152 0.8702 0.3804
Co: 0.6152 0.8702 0.6196
Co: 0.6182 0.8641 0.1310
Co: 0.6182 0.8641 0.8690
Co: 0.7445 0.2555 0.2588
Co: 0.7445 0.2555 0.7412
Co: 0.8641 0.6182 0.1310
Co: 0.8641 0.6182 0.8690
Co: 0.8702 0.6152 0.3804
Co: 0.8702 0.6152 0.6196
Mo: 0.2466 0.7534 0.5000
Mo: 0.5000 0.5000 0.2485
Mo: 0.5000 0.5000 0.7515
Mo: 0.7534 0.2466 0.5000

Main lines, in order of falling intensity (2θ from 15° to 90°):
2θ 42.91, I = 100; 2θ 42.80, I = 100; 2θ 49.86, I = 62; 2θ 73.30, I = 45; 2θ 88.85, I = 32; 2θ 50.00, I = 31; 2θ 88.60, I = 21; 2θ 88.97, I = 11; 2θ 24.35, I = 10; 2θ 73.01, I = 9

=====

For Zr9CoMo4, the GGA-PBE geometry in Alexandria gives the theoretical X-ray powder pattern in this record (Cu Kα (λ = 1.5418 Å)).

Crystal structure
a = 8.7968 Å, b = 8.7968 Å, c = 8.4552 Å
α = 90.00°, β = 90.00°, γ = 120.00°
Atoms (fractional coordinates):
Zr: 0.0857 0.5429 0.2500
Zr: 0.2010 0.4019 0.5578
Zr: 0.2010 0.4019 0.9422
Zr: 0.2010 0.7990 0.5578
Zr: 0.2010 0.7990 0.9422
Zr: 0.4019 0.2010 0.0578
Zr: 0.4019 0.2010 0.4422
Zr: 0.4571 0.5429 0.2500
Zr: 0.4571 0.9143 0.2500
Zr: 0.5429 0.0857 0.7500
Zr: 0.5429 0.4571 0.7500
Zr: 0.5981 0.7990 0.5578
Zr: 0.5981 0.7990 0.9422
Zr: 0.7990 0.2010 0.0578
Zr: 0.7990 0.2010 0.4422
Zr: 0.7990 0.5981 0.0578
Zr: 0.7990 0.5981 0.4422
Zr: 0.9143 0.4571 0.7500
Co: 0.3333 0.6667 0.7500
Co: 0.6667 0.3333 0.2500
Mo: 0.0000 0.0000 0.0000
Mo: 0.0000 0.0000 0.5000
Mo: 0.1105 0.2210 0.2500
Mo: 0.1105 0.8895 0.2500
Mo: 0.2210 0.1105 0.7500
Mo: 0.7790 0.8895 0.2500
Mo: 0.8895 0.1105 0.7500
Mo: 0.8895 0.7790 0.7500

Main lines, in order of falling intensity (2θ from 15° to 90°):
2θ 37.80, I = 100; 2θ 36.96, I = 74; 2θ 39.79, I = 45; 2θ 66.41, I = 28; 2θ 65.08, I = 22; 2θ 62.53, I = 21; 2θ 33.91, I = 20; 2θ 41.04, I = 20; 2θ 63.45, I = 19; 2θ 35.35, I = 14

=====

For Na3Np3CoN8, the GGA-PBE geometry in Alexandria gives the theoretical X-ray powder pattern in this record (Cu Kα (λ = 1.5418 Å)).

Crystal structure
a = 6.6437 Å, b = 6.6437 Å, c = 6.7986 Å
α = 118.99°, β = 118.99°, γ = 59.67°
Atoms (fractional coordinates):
Na: 0.0000 0.0000 0.0000
Na: 0.0000 0.5000 0.0000
Na: 0.5000 0.0000 0.0000
Np: 0.0000 0.5000 0.5000
Np: 0.5000 0.0000 0.5000
Np: 0.5000 0.5000 0.5000
Co: 0.0000 0.0000 0.5000
N: 0.2233 0.2233 0.6735
N: 0.2276 0.7250 0.6744
N: 0.2666 0.2666 0.3092
N: 0.2750 0.7724 0.3256
N: 0.7250 0.2276 0.6744
N: 0.7334 0.7334 0.6908
N: 0.7724 0.2750 0.3256
N: 0.7767 0.7767 0.3265

Main lines, in order of falling intensity (2θ from 15° to 90°):
2θ 15.72, I = 100; 2θ 31.70, I = 51; 2θ 32.94, I = 49; 2θ 37.98, I = 36; 2θ 37.64, I = 19; 2θ 31.45, I = 16; 2θ 41.19, I = 13; 2θ 55.31, I = 12; 2θ 49.42, I = 12; 2θ 53.77, I = 12

=====

For NaSr2CoN2, the GGA-PBE geometry in Alexandria gives the theoretical X-ray powder pattern in this record (Cu Kα (λ = 1.5418 Å)).

Crystal structure
a = 6.3550 Å, b = 7.9051 Å, c = 4.5269 Å
α = 90.00°, β = 90.00°, γ = 90.00°
Atoms (fractional coordinates):
Na: 0.0000 0.0000 0.0000
Na: 0.5000 0.5000 0.5000
Sr: 0.1090 0.2516 0.5000
Sr: 0.3910 0.7516 0.0000
Sr: 0.6090 0.2484 0.0000
Sr: 0.8910 0.7484 0.5000
Co: 0.0000 0.5000 0.0000
Co: 0.5000 0.0000 0.5000
N: 0.2452 0.9029 0.5000
N: 0.2548 0.4029 0.0000
N: 0.7452 0.5971 0.0000
N: 0.7548 0.0971 0.5000

Main lines, in order of falling intensity (2θ from 15° to 90°):
2θ 33.23, I = 100; 2θ 30.32, I = 38; 2θ 26.68, I = 32; 2θ 39.83, I = 25; 2θ 48.85, I = 19; 2θ 42.15, I = 19; 2θ 68.13, I = 18; 2θ 50.86, I = 17; 2θ 44.68, I = 13; 2θ 45.92, I = 12

=====

For NaCoWN3, the GGA-PBE geometry in Alexandria gives the theoretical X-ray powder pattern in this record (Cu Kα (λ = 1.5418 Å)).

Crystal structure
a = 6.1949 Å, b = 3.0799 Å, c = 8.4381 Å
α = 90.00°, β = 94.78°, γ = 90.00°
Atoms (fractional coordinates):
Na: 0.0774 0.2500 0.2796
Na: 0.9226 0.7500 0.7204
Co: 0.4230 0.2500 0.9044
Co: 0.5770 0.7500 0.0956
W: 0.4223 0.7500 0.6452
W: 0.5777 0.2500 0.3548
N: 0.2361 0.2500 0.7045
N: 0.3514 0.7500 0.4129
N: 0.4060 0.2500 0.1228
N: 0.5940 0.7500 0.8772
N: 0.6486 0.2500 0.5871
N: 0.7639 0.7500 0.2955

Main lines, in order of falling intensity (2θ from 15° to 90°):
2θ 36.15, I = 100; 2θ 42.20, I = 91; 2θ 18.53, I = 86; 2θ 33.85, I = 73; 2θ 39.77, I = 61; 2θ 38.38, I = 60; 2θ 30.92, I = 50; 2θ 31.70, I = 48; 2θ 48.13, I = 45; 2θ 31.93, I = 44

=====

For Nb4Co2N, the GGA-PBE geometry in Alexandria gives the theoretical X-ray powder pattern in this record (Cu Kα (λ = 1.5418 Å)).

Crystal structure
a = 8.2451 Å, b = 8.2451 Å, c = 8.2451 Å
α = 60.00°, β = 60.00°, γ = 60.00°
Atoms (fractional coordinates):
Nb: 0.0000 0.0000 0.0000
Nb: 0.0000 0.0000 0.5000
Nb: 0.0000 0.5000 0.0000
Nb: 0.1892 0.1892 0.5608
Nb: 0.1892 0.5608 0.1892
Nb: 0.1892 0.5608 0.5608
Nb: 0.4392 0.4392 0.8108
Nb: 0.4392 0.8108 0.4392
Nb: 0.4392 0.8108 0.8108
Nb: 0.5000 0.0000 0.0000
Nb: 0.5608 0.1892 0.1892
Nb: 0.5608 0.1892 0.5608
Nb: 0.5608 0.5608 0.1892
Nb: 0.8108 0.4392 0.4392
Nb: 0.8108 0.4392 0.8108
Nb: 0.8108 0.8108 0.4392
Co: 0.1211 0.7930 0.7930
Co: 0.2070 0.2070 0.2070
Co: 0.2070 0.2070 0.8789
Co: 0.2070 0.8789 0.2070
Co: 0.7930 0.1211 0.7930
Co: 0.7930 0.7930 0.1211
Co: 0.7930 0.7930 0.7930
Co: 0.8789 0.2070 0.2070
N: 0.0000 0.5000 0.5000
N: 0.5000 0.0000 0.5000
N: 0.5000 0.5000 0.0000
N: 0.5000 0.5000 0.5000

Main lines, in order of falling intensity (2θ from 15° to 90°):
2θ 40.19, I = 100; 2θ 37.80, I = 40; 2θ 68.25, I = 36; 2θ 43.93, I = 28; 2θ 33.50, I = 23; 2θ 82.27, I = 18; 2θ 69.86, I = 10; 2θ 52.02, I = 8; 2θ 65.53, I = 8; 2θ 46.74, I = 6